Diffraction record for Lu13InNi6. The XRD peak list is calculated, not measured: it uses a crystal structure in OQMD, relaxed with GGA-PBE and λ = 1.5418 Å (Cu Kα).
Neutral-atom scattering factors, no anomalous dispersion.

Structure:
Unit cell a=8.083 b=8.083 c=8.083 alpha=69.32 beta=69.32 gamma=69.32
Element x y z (fractional)
1 Lu 0.000 0.000 0.000
2 Lu 0.046 0.670 0.670
3 Lu 0.233 0.233 0.615
4 Lu 0.233 0.615 0.233
5 Lu 0.330 0.330 0.954
6 Lu 0.330 0.954 0.330
7 Lu 0.385 0.767 0.767
8 Lu 0.615 0.233 0.233
9 Lu 0.670 0.046 0.670
10 Lu 0.670 0.670 0.046
11 Lu 0.767 0.385 0.767
12 Lu 0.767 0.767 0.385
13 Lu 0.954 0.330 0.330
14 In 0.500 0.500 0.500
15 Ni 0.030 0.030 0.634
16 Ni 0.030 0.634 0.030
17 Ni 0.366 0.970 0.970
18 Ni 0.634 0.030 0.030
19 Ni 0.970 0.366 0.970
20 Ni 0.970 0.970 0.366

Principal peaks in the range 10° ≤ 2θ ≤ 90°, in order of rising 2θ:
2θ = 31.29°, rel. 100.0
2θ = 33.27°, rel. 33.6
2θ = 35.72°, rel. 82.3
2θ = 36.19°, rel. 26.0
2θ = 36.94°, rel. 67.3
2θ = 39.20°, rel. 31.0
2θ = 41.34°, rel. 34.8
2θ = 57.09°, rel. 27.2
2θ = 60.40°, rel. 31.1
2θ = 62.00°, rel. 26.8

***

Diffraction record for LuInNiTe3. The XRD peak list is calculated, not measured: it uses a crystal structure in OQMD, relaxed with GGA-PBE and λ = 1.5418 Å (Cu Kα).
Neutral-atom scattering factors, no anomalous dispersion.

Structure:
Unit cell a=15.744 b=4.088 c=11.046 alpha=90.00 beta=90.00 gamma=90.00
Element x y z (fractional)
1 Lu 0.016 0.250 0.168
2 Lu 0.484 0.750 0.668
3 Lu 0.516 0.250 0.332
4 Lu 0.984 0.750 0.832
5 In 0.233 0.250 0.466
6 In 0.267 0.750 0.966
7 In 0.733 0.250 0.034
8 In 0.767 0.750 0.534
9 Ni 0.008 0.750 0.397
10 Ni 0.492 0.250 0.897
11 Ni 0.508 0.750 0.103
12 Ni 0.992 0.250 0.603
13 Te 0.087 0.750 0.596
14 Te 0.108 0.250 0.931
15 Te 0.139 0.750 0.263
16 Te 0.361 0.250 0.763
17 Te 0.392 0.750 0.431
18 Te 0.413 0.250 0.096
19 Te 0.587 0.750 0.904
20 Te 0.608 0.250 0.569
21 Te 0.639 0.750 0.237
22 Te 0.861 0.250 0.737
23 Te 0.892 0.750 0.069
24 Te 0.913 0.250 0.404

Principal peaks in the range 10° ≤ 2θ ≤ 90°, in order of rising 2θ:
2θ = 11.24°, rel. 60.0
2θ = 26.73°, rel. 51.9
2θ = 28.84°, rel. 100.0
2θ = 29.46°, rel. 21.2
2θ = 32.14°, rel. 39.4
2θ = 32.60°, rel. 35.4
2θ = 34.42°, rel. 19.7
2θ = 39.64°, rel. 44.5
2θ = 39.81°, rel. 36.3
2θ = 44.32°, rel. 33.3

***

Diffraction record for Lu2Sc2In5Os2. The XRD peak list is calculated, not measured: it uses a crystal structure in OQMD, relaxed with GGA-PBE and λ = 1.5418 Å (Cu Kα).
Neutral-atom scattering factors, no anomalous dispersion.

Structure:
Unit cell a=7.653 b=3.382 c=9.551 alpha=90.00 beta=94.67 gamma=90.00
Element x y z (fractional)
1 Lu 0.214 0.000 0.442
2 Lu 0.786 0.000 0.558
3 Sc 0.179 0.000 0.849
4 Sc 0.821 0.000 0.151
5 In 0.163 0.500 0.142
6 In 0.451 0.500 0.678
7 In 0.500 0.500 0.000
8 In 0.549 0.500 0.322
9 In 0.837 0.500 0.858
10 Os 0.075 0.500 0.646
11 Os 0.925 0.500 0.354

Principal peaks in the range 10° ≤ 2θ ≤ 90°, in order of rising 2θ:
2θ = 11.60°, rel. 49.4
2θ = 26.35°, rel. 39.7
2θ = 34.05°, rel. 50.9
2θ = 35.13°, rel. 100.0
2θ = 35.30°, rel. 87.5
2θ = 35.48°, rel. 83.6
2θ = 38.72°, rel. 72.3
2θ = 38.92°, rel. 54.6
2θ = 39.42°, rel. 54.5
2θ = 45.00°, rel. 39.3

***

Diffraction record for Tm2Lu2In5Os2. The XRD peak list is calculated, not measured: it uses a crystal structure in OQMD, relaxed with GGA-PBE and λ = 1.5418 Å (Cu Kα).
Neutral-atom scattering factors, no anomalous dispersion.

Structure:
Unit cell a=7.707 b=3.490 c=9.645 alpha=90.00 beta=93.89 gamma=90.00
Element x y z (fractional)
1 Tm 0.175 0.000 0.354
2 Tm 0.825 0.000 0.646
3 Lu 0.212 0.000 0.945
4 Lu 0.788 0.000 0.055
5 In 0.175 0.500 0.655
6 In 0.449 0.500 0.172
7 In 0.500 0.500 0.500
8 In 0.551 0.500 0.828
9 In 0.825 0.500 0.345
10 Os 0.073 0.500 0.142
11 Os 0.927 0.500 0.858

Principal peaks in the range 10° ≤ 2θ ≤ 90°, in order of rising 2θ:
2θ = 11.51°, rel. 65.3
2θ = 33.35°, rel. 62.4
2θ = 34.25°, rel. 100.0
2θ = 34.72°, rel. 71.9
2θ = 35.01°, rel. 40.5
2θ = 35.20°, rel. 35.5
2θ = 37.72°, rel. 39.2
2θ = 38.11°, rel. 61.0
2θ = 38.80°, rel. 54.5
2θ = 52.44°, rel. 37.0

***

Diffraction record for Lu2In8Pd. The XRD peak list is calculated, not measured: it uses a crystal structure in OQMD, relaxed with GGA-PBE and λ = 1.5418 Å (Cu Kα).
Neutral-atom scattering factors, no anomalous dispersion.

Structure:
Unit cell a=4.663 b=4.663 c=12.028 alpha=90.00 beta=90.00 gamma=90.00
Element x y z (fractional)
1 Lu 0.000 0.000 0.187
2 Lu 0.000 0.000 0.813
3 In 0.000 0.500 0.000
4 In 0.000 0.500 0.371
5 In 0.000 0.500 0.629
6 In 0.500 0.000 0.000
7 In 0.500 0.000 0.371
8 In 0.500 0.000 0.629
9 In 0.500 0.500 0.190
10 In 0.500 0.500 0.810
11 Pd 0.000 0.000 0.500

Principal peaks in the range 10° ≤ 2θ ≤ 90°, in order of rising 2θ:
2θ = 30.93°, rel. 24.9
2θ = 35.24°, rel. 100.0
2θ = 37.38°, rel. 12.8
2θ = 38.62°, rel. 49.6
2θ = 54.84°, rel. 16.5
2θ = 55.76°, rel. 16.7
2θ = 60.95°, rel. 8.7
2θ = 67.71°, rel. 31.0
2θ = 68.61°, rel. 12.4
2θ = 69.07°, rel. 8.2

***

Diffraction record for Tm2Lu2In5Pd2. The XRD peak list is calculated, not measured: it uses a crystal structure in OQMD, relaxed with GGA-PBE and λ = 1.5418 Å (Cu Kα).
Neutral-atom scattering factors, no anomalous dispersion.

Structure:
Unit cell a=7.715 b=3.515 c=9.598 alpha=90.00 beta=94.42 gamma=90.00
Element x y z (fractional)
1 Tm 0.187 0.000 0.355
2 Tm 0.813 0.000 0.645
3 Lu 0.219 0.000 0.935
4 Lu 0.781 0.000 0.065
5 In 0.162 0.500 0.643
6 In 0.458 0.500 0.172
7 In 0.500 0.500 0.500
8 In 0.542 0.500 0.828
9 In 0.838 0.500 0.357
10 Pd 0.075 0.500 0.137
11 Pd 0.925 0.500 0.863

Principal peaks in the range 10° ≤ 2θ ≤ 90°, in order of rising 2θ:
2θ = 31.17°, rel. 31.0
2θ = 33.20°, rel. 81.8
2θ = 34.23°, rel. 100.0
2θ = 34.57°, rel. 85.7
2θ = 35.00°, rel. 50.0
2θ = 35.14°, rel. 37.5
2θ = 38.06°, rel. 74.0
2θ = 38.57°, rel. 91.4
2θ = 52.03°, rel. 36.4
2θ = 64.29°, rel. 29.4

***

Copy entry 2 word for word.
Diffraction record for LuInNiTe3. The XRD peak list is calculated, not measured: it uses a crystal structure in OQMD, relaxed with GGA-PBE and λ = 1.5418 Å (Cu Kα).
Neutral-atom scattering factors, no anomalous dispersion.

Structure:
Unit cell a=15.744 b=4.088 c=11.046 alpha=90.00 beta=90.00 gamma=90.00
Element x y z (fractional)
1 Lu 0.016 0.250 0.168
2 Lu 0.484 0.750 0.668
3 Lu 0.516 0.250 0.332
4 Lu 0.984 0.750 0.832
5 In 0.233 0.250 0.466
6 In 0.267 0.750 0.966
7 In 0.733 0.250 0.034
8 In 0.767 0.750 0.534
9 Ni 0.008 0.750 0.397
10 Ni 0.492 0.250 0.897
11 Ni 0.508 0.750 0.103
12 Ni 0.992 0.250 0.603
13 Te 0.087 0.750 0.596
14 Te 0.108 0.250 0.931
15 Te 0.139 0.750 0.263
16 Te 0.361 0.250 0.763
17 Te 0.392 0.750 0.431
18 Te 0.413 0.250 0.096
19 Te 0.587 0.750 0.904
20 Te 0.608 0.250 0.569
21 Te 0.639 0.750 0.237
22 Te 0.861 0.250 0.737
23 Te 0.892 0.750 0.069
24 Te 0.913 0.250 0.404

Principal peaks in the range 10° ≤ 2θ ≤ 90°, in order of rising 2θ:
2θ = 11.24°, rel. 60.0
2θ = 26.73°, rel. 51.9
2θ = 28.84°, rel. 100.0
2θ = 29.46°, rel. 21.2
2θ = 32.14°, rel. 39.4
2θ = 32.60°, rel. 35.4
2θ = 34.42°, rel. 19.7
2θ = 39.64°, rel. 44.5
2θ = 39.81°, rel. 36.3
2θ = 44.32°, rel. 33.3

***

What did the fifth record say?
Diffraction record for Lu2In8Pd. The XRD peak list is calculated, not measured: it uses a crystal structure in OQMD, relaxed with GGA-PBE and λ = 1.5418 Å (Cu Kα).
Neutral-atom scattering factors, no anomalous dispersion.

Structure:
Unit cell a=4.663 b=4.663 c=12.028 alpha=90.00 beta=90.00 gamma=90.00
Element x y z (fractional)
1 Lu 0.000 0.000 0.187
2 Lu 0.000 0.000 0.813
3 In 0.000 0.500 0.000
4 In 0.000 0.500 0.371
5 In 0.000 0.500 0.629
6 In 0.500 0.000 0.000
7 In 0.500 0.000 0.371
8 In 0.500 0.000 0.629
9 In 0.500 0.500 0.190
10 In 0.500 0.500 0.810
11 Pd 0.000 0.000 0.500

Principal peaks in the range 10° ≤ 2θ ≤ 90°, in order of rising 2θ:
2θ = 30.93°, rel. 24.9
2θ = 35.24°, rel. 100.0
2θ = 37.38°, rel. 12.8
2θ = 38.62°, rel. 49.6
2θ = 54.84°, rel. 16.5
2θ = 55.76°, rel. 16.7
2θ = 60.95°, rel. 8.7
2θ = 67.71°, rel. 31.0
2θ = 68.61°, rel. 12.4
2θ = 69.07°, rel. 8.2

***

Please write out number 1 again, unchanged.
Diffraction record for Lu13InNi6. The XRD peak list is calculated, not measured: it uses a crystal structure in OQMD, relaxed with GGA-PBE and λ = 1.5418 Å (Cu Kα).
Neutral-atom scattering factors, no anomalous dispersion.

Structure:
Unit cell a=8.083 b=8.083 c=8.083 alpha=69.32 beta=69.32 gamma=69.32
Element x y z (fractional)
1 Lu 0.000 0.000 0.000
2 Lu 0.046 0.670 0.670
3 Lu 0.233 0.233 0.615
4 Lu 0.233 0.615 0.233
5 Lu 0.330 0.330 0.954
6 Lu 0.330 0.954 0.330
7 Lu 0.385 0.767 0.767
8 Lu 0.615 0.233 0.233
9 Lu 0.670 0.046 0.670
10 Lu 0.670 0.670 0.046
11 Lu 0.767 0.385 0.767
12 Lu 0.767 0.767 0.385
13 Lu 0.954 0.330 0.330
14 In 0.500 0.500 0.500
15 Ni 0.030 0.030 0.634
16 Ni 0.030 0.634 0.030
17 Ni 0.366 0.970 0.970
18 Ni 0.634 0.030 0.030
19 Ni 0.970 0.366 0.970
20 Ni 0.970 0.970 0.366

Principal peaks in the range 10° ≤ 2θ ≤ 90°, in order of rising 2θ:
2θ = 31.29°, rel. 100.0
2θ = 33.27°, rel. 33.6
2θ = 35.72°, rel. 82.3
2θ = 36.19°, rel. 26.0
2θ = 36.94°, rel. 67.3
2θ = 39.20°, rel. 31.0
2θ = 41.34°, rel. 34.8
2θ = 57.09°, rel. 27.2
2θ = 60.40°, rel. 31.1
2θ = 62.00°, rel. 26.8

***

What is the formula in the fifth record?
Lu2In8Pd